(1)
Computed powder XRD pattern of Cs5P2I for copper Kα, from a structure optimized by DFT (GGA-PBE).

Most intense lines, 2θ = 10–90°, low angle first:
| hkl | 2θ/deg | d/Å | I/Imax |
| --- | --- | --- | --- |
| 2 1 1 | 22.1 | 4.017 | 44.3 |
| 1 1 4 | 23.8 | 3.736 | 33.6 |
| 2 1 3 | 26.1 | 3.410 | 47.9 |
| 2 2 0 | 27.4 | 3.255 | 31.1 |
| 2 0 4 | 27.5 | 3.240 | 100.0 |
| 3 1 0 | 30.7 | 2.912 | 43.1 |
| 2 1 5 | 32.8 | 2.731 | 26.3 |
| 4 1 1 | 40.7 | 2.217 | 22.4 |
| 3 3 4 | 46.3 | 1.960 | 33.1 |
| 3 1 8 | 50.9 | 1.795 | 20.5 |

Structure:
```
data_Cs5P2I
_chemical_formula_sum 'Cs20 P8 I4'
_cell_length_a 9.2078
_cell_length_b 9.2078
_cell_length_c 18.2435
_cell_angle_alpha 90.00
_cell_angle_beta 90.00
_cell_angle_gamma 90.00
_symmetry_space_group_name_H-M 'I 4/m c m'
_symmetry_Int_Tables_number 140
_symmetry_space_group_name_Hall '-I 4 2c'
loop_
_atom_site_label
_atom_site_fract_x
_atom_site_fract_y
_atom_site_fract_z
Cs1 0.0000 0.0000 0.0000
Cs2 0.1812 0.3188 0.1250
P1 0.0889 0.4111 0.5000
I1 0.0000 0.0000 0.2500
```

(2)
Computed powder XRD pattern of BeSiAu2 for copper Kα, from a structure optimized by DFT (GGA-PBE).

Most intense lines, 2θ = 10–90°, low angle first:
| hkl | 2θ/deg | d/Å | I/Imax |
| --- | --- | --- | --- |
| 0 0 4 | 22.4 | 3.968 | 51.1 |
| 1 1 2 | 32.6 | 2.744 | 100.0 |
| 2 0 0 | 43.8 | 2.068 | 18.7 |
| 0 0 8 | 45.7 | 1.984 | 11.7 |
| 1 1 6 | 46.3 | 1.962 | 38.5 |
| 2 0 4 | 49.7 | 1.834 | 36.9 |
| 2 0 8 | 65.2 | 1.432 | 11.9 |
| 1 1 10 | 67.1 | 1.395 | 12.9 |
| 3 1 2 | 73.4 | 1.291 | 19.8 |
| 3 1 6 | 82.2 | 1.173 | 15.0 |

Structure:
```
data_BeSiAu2
_chemical_formula_sum 'Be4 Si4 Au8'
_cell_length_a 4.1365
_cell_length_b 4.1365
_cell_length_c 15.8703
_cell_angle_alpha 90.00
_cell_angle_beta 90.00
_cell_angle_gamma 90.00
_symmetry_space_group_name_H-M 'I -4 2 d'
_symmetry_Int_Tables_number 122
_symmetry_space_group_name_Hall 'I -4 2bw'
loop_
_atom_site_label
_atom_site_fract_x
_atom_site_fract_y
_atom_site_fract_z
Be1 0.0000 0.0000 0.0000
Si1 0.0000 0.0000 0.5000
Au1 0.2407 0.2500 0.1250
```

(3)
Computed powder XRD pattern of Pm3Tm5Sn2 for copper Kα, from a structure optimized by DFT (GGA-PBE).

Most intense lines, 2θ = 10–90°, low angle first:
| hkl | 2θ/deg | d/Å | I/Imax |
| --- | --- | --- | --- |
| 0 4 0 | 22.9 | 3.889 | 9.5 |
| 2 3 1 | 26.2 | 3.396 | 14.5 |
| 0 2 2 | 30.4 | 2.942 | 100.0 |
| 0 6 0 | 34.6 | 2.592 | 13.9 |
| 2 5 1 | 35.1 | 2.558 | 28.2 |
| 0 4 2 | 36.5 | 2.460 | 29.3 |
| 4 0 2 | 40.1 | 2.247 | 38.4 |
| 0 8 0 | 46.7 | 1.945 | 9.7 |
| 4 6 2 | 54.0 | 1.698 | 13.8 |
| 4 2 4 | 67.0 | 1.397 | 19.5 |

Structure:
```
data_Pm3Tm5Sn2
_chemical_formula_sum 'Pm12 Tm20 Sn8'
_cell_length_a 12.7340
_cell_length_b 15.5550
_cell_length_c 6.3438
_cell_angle_alpha 90.00
_cell_angle_beta 90.00
_cell_angle_gamma 90.00
_symmetry_space_group_name_H-M 'I b a m'
_symmetry_Int_Tables_number 72
_symmetry_space_group_name_Hall '-I 2 2c'
loop_
_atom_site_label
_atom_site_fract_x
_atom_site_fract_y
_atom_site_fract_z
Pm1 0.0000 0.0000 0.2500
Pm2 0.1251 0.2239 0.0000
Tm1 0.0000 0.5000 0.2500
Tm2 0.1034 0.3365 0.5000
Tm3 0.2467 0.5000 0.2500
Sn1 0.1425 0.1482 0.5000
```

Please write out number 1 again, unchanged.
Computed powder XRD pattern of Cs5P2I for copper Kα, from a structure optimized by DFT (GGA-PBE).

Most intense lines, 2θ = 10–90°, low angle first:
| hkl | 2θ/deg | d/Å | I/Imax |
| --- | --- | --- | --- |
| 2 1 1 | 22.1 | 4.017 | 44.3 |
| 1 1 4 | 23.8 | 3.736 | 33.6 |
| 2 1 3 | 26.1 | 3.410 | 47.9 |
| 2 2 0 | 27.4 | 3.255 | 31.1 |
| 2 0 4 | 27.5 | 3.240 | 100.0 |
| 3 1 0 | 30.7 | 2.912 | 43.1 |
| 2 1 5 | 32.8 | 2.731 | 26.3 |
| 4 1 1 | 40.7 | 2.217 | 22.4 |
| 3 3 4 | 46.3 | 1.960 | 33.1 |
| 3 1 8 | 50.9 | 1.795 | 20.5 |

Structure:
```
data_Cs5P2I
_chemical_formula_sum 'Cs20 P8 I4'
_cell_length_a 9.2078
_cell_length_b 9.2078
_cell_length_c 18.2435
_cell_angle_alpha 90.00
_cell_angle_beta 90.00
_cell_angle_gamma 90.00
_symmetry_space_group_name_H-M 'I 4/m c m'
_symmetry_Int_Tables_number 140
_symmetry_space_group_name_Hall '-I 4 2c'
loop_
_atom_site_label
_atom_site_fract_x
_atom_site_fract_y
_atom_site_fract_z
Cs1 0.0000 0.0000 0.0000
Cs2 0.1812 0.3188 0.1250
P1 0.0889 0.4111 0.5000
I1 0.0000 0.0000 0.2500
```